Tl3AuCl4: theoretical PXRD pattern (Cu Kα), based on a DFT-relaxed cell (GGA-PBE, Alexandria).
Intensities are scaled so that the largest is 1000.

Principal peaks in the range 10° ≤ 2θ ≤ 90°, in order of rising 2θ:
2θ/deg	Rel. int.	hkl
18.78	581	1 1 1
18.90	417	1 2 0
22.05	316	2 1 0
23.86	341	0 3 0
25.98	1000	2 1 1
27.30	706	0 0 2
29.47	484	2 2 1
36.57	231	0 3 2
40.84	426	2 4 1
50.65	261	4 0 2

Structure:
a = 8.642 Å, b = 11.187 Å, c = 6.534 Å
α = 90.00°, β = 90.00°, γ = 90.00°
Space group Pmn2_1 (No. 31)
One atom of each set of equivalent atoms:
1 Tl 0.000 0.094 0.000 (multiplicity 2)
2 Tl 0.237 0.334 0.499 (multiplicity 4)
3 Au 0.000 0.661 0.499 (multiplicity 2)
4 Cl 0.000 0.140 0.499 (multiplicity 2)
5 Cl 0.000 0.831 0.998 (multiplicity 2)
6 Cl 0.234 0.341 0.999 (multiplicity 4)